(1)
Diffraction record for NdHoSiGe. The powder XRD pattern is theoretical, not measured: it uses DFT lattice parameters and positions (PBE) and copper Kα.
Intensities are scaled so that the largest is 100.

Atomic structure:
```
data_NdHoSiGe
_chemical_formula_sum 'Nd2 Ho2 Si2 Ge2'
_space_group_name_H-M_alt 'A m m 2'
_space_group_IT_number 38
_cell_length_a 3.951
_cell_length_b 4.374
_cell_length_c 10.815
_cell_angle_alpha 90.00
_cell_angle_beta 90.00
_cell_angle_gamma 90.00
loop_
_space_group_symop_operation_xyz
'x,y,z'
'-x,-y,z'
'-x,y,z'
'x,-y,z'
'x,y+1/2,z+1/2'
'-x,-y+1/2,z+1/2'
'-x,y+1/2,z+1/2'
'x,-y+1/2,z+1/2'
loop_
_atom_site_label
_atom_site_type_symbol
_atom_site_fract_x
_atom_site_fract_y
_atom_site_fract_z
_atom_site_occupancy
Nd1 Nd 0.000 0.000 0.000 1
Ho1 Ho 0.500 0.000 0.278 1
Si1 Si 0.000 0.000 0.721 1
Ge1 Ge 0.500 0.000 0.564 1
```

Most intense lines, 2θ from 5° to 70°, most intense first:
hkl 1 1 1, 31.62°, d = 2.830 Å, rel. 100
hkl 0 1 3, 32.18°, d = 2.782 Å, rel. 47
hkl 1 1 3, 39.62°, d = 2.275 Å, rel. 44
hkl 1 0 2, 27.97°, d = 3.190 Å, rel. 40
hkl 0 0 4, 33.13°, d = 2.704 Å, rel. 29
hkl 0 2 0, 41.28°, d = 2.187 Å, rel. 25
hkl 2 0 0, 45.94°, d = 1.976 Å, rel. 18
hkl 2 1 3, 57.19°, d = 1.611 Å, rel. 18
hkl 0 1 1, 21.92°, d = 4.055 Å, rel. 18
hkl 1 2 2, 50.60°, d = 1.804 Å, rel. 16

(2)
Diffraction record for Ho4NiGe8. The powder XRD pattern is theoretical, not measured: it uses DFT lattice parameters and positions (PBE) and copper Kα.
Intensities are scaled so that the largest is 100.

Atomic structure:
```
data_Ho4NiGe8
_chemical_formula_sum 'Ho4 Ni1 Ge8'
_space_group_name_H-M_alt 'P m m 2'
_space_group_IT_number 25
_cell_length_a 3.984
_cell_length_b 4.083
_cell_length_c 16.111
_cell_angle_alpha 90.00
_cell_angle_beta 90.00
_cell_angle_gamma 90.00
loop_
_space_group_symop_operation_xyz
'x,y,z'
'-x,-y,z'
'-x,y,z'
'x,-y,z'
loop_
_atom_site_label
_atom_site_type_symbol
_atom_site_fract_x
_atom_site_fract_y
_atom_site_fract_z
_atom_site_occupancy
Ho1 Ho 0.000 0.000 0.000 1
Ho2 Ho 0.000 0.500 0.495 1
Ho3 Ho 0.500 0.000 0.790 1
Ho4 Ho 0.500 0.500 0.288 1
Ni1 Ni 0.000 0.500 0.708 1
Ge1 Ge 0.000 0.000 0.336 1
Ge2 Ge 0.000 0.000 0.633 1
Ge3 Ge 0.000 0.500 0.141 1
Ge4 Ge 0.000 0.500 0.853 1
Ge5 Ge 0.500 0.000 0.147 1
Ge6 Ge 0.500 0.000 0.440 1
Ge7 Ge 0.500 0.500 0.632 1
Ge8 Ge 0.500 0.500 0.954 1
```

Most intense lines, 2θ from 5° to 70°, most intense first:
hkl 1 1 3, 35.65°, d = 2.518 Å, rel. 100
hkl 0 1 5, 35.49°, d = 2.530 Å, rel. 20
hkl 0 2 0, 44.37°, d = 2.042 Å, rel. 19
hkl 2 0 0, 45.54°, d = 1.992 Å, rel. 17
hkl 1 0 2, 24.94°, d = 3.571 Å, rel. 16
hkl 1 0 6, 40.52°, d = 2.227 Å, rel. 16
hkl 0 0 6, 33.37°, d = 2.685 Å, rel. 15
hkl 2 2 0, 65.46°, d = 1.426 Å, rel. 12
hkl 0 1 3, 27.44°, d = 3.251 Å, rel. 10
hkl 1 2 6, 61.63°, d = 1.505 Å, rel. 10

(3)
Diffraction record for Ho3Ni2Ge4. The powder XRD pattern is theoretical, not measured: it uses DFT lattice parameters and positions (PBE) and copper Kα.
Intensities are scaled so that the largest is 100.

Atomic structure:
```
data_Ho3Ni2Ge4
_chemical_formula_sum 'Ho6 Ni4 Ge8'
_space_group_name_H-M_alt 'C 1 2/m 1'
_space_group_IT_number 12
_cell_length_a 10.646
_cell_length_b 4.144
_cell_length_c 8.091
_cell_angle_alpha 90.00
_cell_angle_beta 102.39
_cell_angle_gamma 90.00
loop_
_space_group_symop_operation_xyz
'x,y,z'
'-x,-y,-z'
'-x,y,-z'
'x,-y,z'
'x+1/2,y+1/2,z'
'-x+1/2,-y+1/2,-z'
'-x+1/2,y+1/2,-z'
'x+1/2,-y+1/2,z'
loop_
_atom_site_label
_atom_site_type_symbol
_atom_site_fract_x
_atom_site_fract_y
_atom_site_fract_z
_atom_site_occupancy
Ho1 Ho 0.000 0.000 0.000 1
Ho2 Ho 0.161 0.500 0.660 1
Ni1 Ni 0.106 0.500 0.282 1
Ge1 Ge 0.061 0.000 0.381 1
Ge2 Ge 0.219 0.500 0.072 1
```

Most intense lines, 2θ from 5° to 70°, most intense first:
hkl 1 1 2, 33.74°, d = 2.656 Å, rel. 100
hkl 3 1 -3, 44.24°, d = 2.047 Å, rel. 39
hkl 4 0 -1, 33.91°, d = 2.643 Å, rel. 26
hkl 0 0 3, 34.04°, d = 2.634 Å, rel. 23
hkl 4 2 -1, 56.46°, d = 1.630 Å, rel. 23
hkl 0 2 0, 43.69°, d = 2.072 Å, rel. 21
hkl 4 0 2, 45.71°, d = 1.985 Å, rel. 18
hkl 1 1 -1, 24.91°, d = 3.574 Å, rel. 16
hkl 4 2 2, 65.07°, d = 1.433 Å, rel. 12
hkl 7 1 -1, 65.39°, d = 1.427 Å, rel. 12

(4)
Diffraction record for Ho4Ni3Ge12. The powder XRD pattern is theoretical, not measured: it uses DFT lattice parameters and positions (PBE) and copper Kα.
Intensities are scaled so that the largest is 100.

Atomic structure:
```
data_Ho4Ni3Ge12
_chemical_formula_sum 'Ho4 Ni3 Ge12'
_space_group_name_H-M_alt 'P m m 2'
_space_group_IT_number 25
_cell_length_a 4.050
_cell_length_b 4.071
_cell_length_c 21.539
_cell_angle_alpha 90.00
_cell_angle_beta 90.00
_cell_angle_gamma 90.00
loop_
_space_group_symop_operation_xyz
'x,y,z'
'-x,-y,z'
'-x,y,z'
'x,-y,z'
loop_
_atom_site_label
_atom_site_type_symbol
_atom_site_fract_x
_atom_site_fract_y
_atom_site_fract_z
_atom_site_occupancy
Ho1 Ho 0.000 0.000 0.000 1
Ho2 Ho 0.000 0.000 0.331 1
Ho3 Ho 0.500 0.000 0.492 1
Ho4 Ho 0.500 0.000 0.833 1
Ni1 Ni 0.000 0.500 0.551 1
Ni2 Ni 0.000 0.500 0.776 1
Ni3 Ni 0.500 0.500 0.056 1
Ge1 Ge 0.000 0.000 0.605 1
Ge2 Ge 0.000 0.000 0.721 1
Ge3 Ge 0.000 0.500 0.112 1
Ge4 Ge 0.000 0.500 0.229 1
Ge5 Ge 0.000 0.500 0.444 1
Ge6 Ge 0.000 0.500 0.882 1
Ge7 Ge 0.500 0.000 0.112 1
Ge8 Ge 0.500 0.000 0.228 1
Ge9 Ge 0.500 0.500 0.370 1
Ge10 Ge 0.500 0.500 0.605 1
Ge11 Ge 0.500 0.500 0.721 1
Ge12 Ge 0.500 0.500 0.950 1
```

Most intense lines, 2θ from 5° to 70°, most intense first:
hkl 1 1 3, 33.62°, d = 2.666 Å, rel. 100
hkl 0 0 8, 33.28°, d = 2.692 Å, rel. 36
hkl 0 2 0, 44.51°, d = 2.036 Å, rel. 24
hkl 2 0 0, 44.76°, d = 2.025 Å, rel. 23
hkl 2 0 8, 56.90°, d = 1.618 Å, rel. 21
hkl 1 0 9, 43.94°, d = 2.060 Å, rel. 19
hkl 1 1 5, 37.65°, d = 2.389 Å, rel. 17
hkl 2 2 0, 64.96°, d = 1.436 Å, rel. 15
hkl 1 2 9, 64.33°, d = 1.448 Å, rel. 12
hkl 1 1 7, 43.09°, d = 2.099 Å, rel. 10